(1)
For Dy5Y2Ru5, DFT lattice parameters and positions (GGA-PBE) gives the simulated powder XRD pattern in this record (λ = 1.5418 Å (Cu Kα)).
Kinematic intensities with the Lorentz-polarization factor, no thermal factor.

Peak list (6 most intense, 2θ from 10° to 80°, sorted by position)
d_spacing, 2θ (°), intensity
2.893, 30.91, 26
2.747, 32.60, 24
2.482, 36.19, 37
2.409, 37.33, 100
2.363, 38.08, 19
1.391, 67.33, 17

Atomic structure:
Cell: 4.818 4.818 13.666 Å, 100.09 100.09 59.96°
Positions (direct):
Dy  0.000  0.000  0.000
Dy  0.190  0.190  0.571
Dy  0.285  0.285  0.856
Dy  0.715  0.715  0.144
Dy  0.810  0.810  0.429
Y  0.428  0.428  0.284
Y  0.572  0.572  0.716
Ru  0.117  0.117  0.351
Ru  0.355  0.355  0.064
Ru  0.500  0.500  0.500
Ru  0.645  0.645  0.936
Ru  0.883  0.883  0.649

(2)
For Dy2ZnRu3, DFT lattice parameters and positions (GGA-PBE) gives the simulated powder XRD pattern in this record (λ = 1.5418 Å (Cu Kα)).
Kinematic intensities with the Lorentz-polarization factor, no thermal factor.

Peak list (6 most intense, 2θ from 10° to 80°, sorted by position)
d_spacing, 2θ (°), intensity
2.657, 33.73, 68
2.291, 39.32, 53
2.282, 39.49, 100
2.278, 39.56, 37
2.263, 39.84, 60
2.191, 41.21, 32

Atomic structure:
Cell: 5.316 5.316 5.312 Å, 119.36 119.36 60.83°
Positions (direct):
Dy  0.123  0.123  0.377
Dy  0.877  0.877  0.623
Zn  0.500  0.500  0.000
Ru  0.000  0.500  0.000
Ru  0.500  0.000  0.000
Ru  0.500  0.500  0.500

(3)
For Dy5Zn4Ru, DFT lattice parameters and positions (GGA-PBE) gives the simulated powder XRD pattern in this record (λ = 1.5418 Å (Cu Kα)).
Kinematic intensities with the Lorentz-polarization factor, no thermal factor.

Peak list (6 most intense, 2θ from 10° to 80°, sorted by position)
d_spacing, 2θ (°), intensity
3.514, 25.35, 15
2.508, 35.80, 100
2.485, 36.15, 50
1.757, 52.05, 17
1.453, 64.10, 17
1.439, 64.78, 35

Atomic structure:
Cell: 3.514 3.514 17.907 Å, 90.00 90.00 90.00°
Positions (direct):
Dy  0.000  0.000  0.000
Dy  0.000  0.000  0.202
Dy  0.000  0.000  0.409
Dy  0.000  0.000  0.591
Dy  0.000  0.000  0.798
Zn  0.500  0.500  0.101
Zn  0.500  0.500  0.302
Zn  0.500  0.500  0.698
Zn  0.500  0.500  0.899
Ru  0.500  0.500  0.500

Copy entry 3 word for word.
For Dy5Zn4Ru, DFT lattice parameters and positions (GGA-PBE) gives the simulated powder XRD pattern in this record (λ = 1.5418 Å (Cu Kα)).
Kinematic intensities with the Lorentz-polarization factor, no thermal factor.

Peak list (6 most intense, 2θ from 10° to 80°, sorted by position)
d_spacing, 2θ (°), intensity
3.514, 25.35, 15
2.508, 35.80, 100
2.485, 36.15, 50
1.757, 52.05, 17
1.453, 64.10, 17
1.439, 64.78, 35

Atomic structure:
Cell: 3.514 3.514 17.907 Å, 90.00 90.00 90.00°
Positions (direct):
Dy  0.000  0.000  0.000
Dy  0.000  0.000  0.202
Dy  0.000  0.000  0.409
Dy  0.000  0.000  0.591
Dy  0.000  0.000  0.798
Zn  0.500  0.500  0.101
Zn  0.500  0.500  0.302
Zn  0.500  0.500  0.698
Zn  0.500  0.500  0.899
Ru  0.500  0.500  0.500